Record 1
Ce5Sb4As: calculated X-ray powder pattern (Cu Kα X-rays), based on a GGA-PBE-relaxed structure.
Neutral-atom scattering factors, no anomalous dispersion.

Main lines, sorted by position (5° ≤ 2θ ≤ 70°):
24.50°, I 2; 28.36°, I 100; 32.58°, I 1; 36.57°, I 1; 40.54°, I 76; 47.94°, I 1; 50.22°, I 27; 58.68°, I 12; 66.41°, I 23; 66.48°, I 11

a = 16.0307 Å, b = 16.0307 Å, c = 16.0307 Å
α = 164.03°, β = 164.03°, γ = 22.65°
Fractional coordinates of all 10 atoms:
Ce (0.0000, 0.0000, 0.0000)
Ce (0.2003, 0.2003, 0.0000)
Ce (0.4045, 0.4045, 0.0000)
Ce (0.5955, 0.5955, 0.0000)
Ce (0.7997, 0.7997, 0.0000)
Sb (0.0999, 0.0999, 0.0000)
Sb (0.3018, 0.3018, 0.0000)
Sb (0.6982, 0.6982, 0.0000)
Sb (0.9001, 0.9001, 0.0000)
As (0.5000, 0.5000, 0.0000)

---

Record 2
Pu2Hf3UN6: calculated X-ray powder pattern (Cu Kα X-rays), based on a GGA-PBE-relaxed structure.
Neutral-atom scattering factors, no anomalous dispersion.

Main lines, sorted by position (5° ≤ 2θ ≤ 70°):
32.02°, I 37; 33.25°, I 100; 38.23°, I 90; 54.36°, I 32; 55.97°, I 30; 64.50°, I 16; 65.94°, I 21; 65.98°, I 10; 66.68°, I 15; 69.82°, I 10

a = 5.6911 Å, b = 5.6911 Å, c = 5.9011 Å
α = 99.23°, β = 99.23°, γ = 120.00°
Fractional coordinates of all 12 atoms:
Pu (0.1667, 0.8333, 0.0000)
Pu (0.8333, 0.1667, 0.0000)
Hf (0.0000, 0.0000, 0.5000)
Hf (0.3315, 0.6685, 0.5000)
Hf (0.6685, 0.3315, 0.5000)
U (0.5000, 0.5000, 0.0000)
N (0.0814, 0.4076, 0.7228)
N (0.2670, 0.2670, 0.2768)
N (0.4076, 0.0814, 0.7228)
N (0.5924, 0.9186, 0.2772)
N (0.7330, 0.7330, 0.7232)
N (0.9186, 0.5924, 0.2772)

---

Record 3
Ac2TmGe3Pt12: calculated X-ray powder pattern (Cu Kα X-rays), based on a GGA-PBE-relaxed structure.
Neutral-atom scattering factors, no anomalous dispersion.

Main lines, sorted by position (5° ≤ 2θ ≤ 70°):
22.31°, I 9; 25.33°, I 11; 26.42°, I 17; 30.84°, I 100; 33.74°, I 18; 42.79°, I 73; 45.53°, I 56; 47.01°, I 9; 53.67°, I 18; 64.25°, I 18

a = 7.9961 Å, b = 7.9961 Å, c = 7.9961 Å
α = 63.82°, β = 63.82°, γ = 63.82°
Fractional coordinates of all 18 atoms:
Ac (0.1049, 0.1049, 0.1049)
Ac (0.8951, 0.8951, 0.8951)
Tm (0.5000, 0.5000, 0.5000)
Ge (0.0000, 0.5000, 0.5000)
Ge (0.5000, 0.0000, 0.5000)
Ge (0.5000, 0.5000, 0.0000)
Pt (0.1091, 0.6395, 0.6395)
Pt (0.1453, 0.1453, 0.5945)
Pt (0.1453, 0.5945, 0.1453)
Pt (0.3605, 0.3605, 0.8909)
Pt (0.3605, 0.8909, 0.3605)
Pt (0.4055, 0.8547, 0.8547)
Pt (0.5945, 0.1453, 0.1453)
Pt (0.6395, 0.1091, 0.6395)
Pt (0.6395, 0.6395, 0.1091)
Pt (0.8547, 0.4055, 0.8547)
Pt (0.8547, 0.8547, 0.4055)
Pt (0.8909, 0.3605, 0.3605)

---

Record 4
TiZnO6F6: calculated X-ray powder pattern (Cu Kα X-rays), based on a GGA-PBE-relaxed structure.
Neutral-atom scattering factors, no anomalous dispersion.

Main lines, sorted by position (5° ≤ 2θ ≤ 70°):
20.43°, I 52; 20.71°, I 100; 22.42°, I 82; 26.72°, I 15; 33.83°, I 16; 34.27°, I 40; 37.01°, I 34; 42.88°, I 35; 50.38°, I 19; 59.37°, I 17

a = 6.5867 Å, b = 8.6936 Å, c = 6.7072 Å
α = 90.00°, β = 95.82°, γ = 90.00°
Fractional coordinates of all 28 atoms:
Ti (0.0000, 0.0000, 0.0000)
Ti (0.0000, 0.5000, 0.5000)
Zn (0.5000, 0.0000, 0.5000)
Zn (0.5000, 0.5000, 0.0000)
O (0.2489, 0.1182, 0.4713)
O (0.2489, 0.3818, 0.9713)
O (0.3751, 0.7220, 0.8583)
O (0.3751, 0.7780, 0.3583)
O (0.4613, 0.5519, 0.2868)
O (0.4613, 0.9481, 0.7868)
O (0.5387, 0.0519, 0.2132)
O (0.5387, 0.4481, 0.7132)
O (0.6249, 0.2220, 0.6417)
O (0.6249, 0.2780, 0.1417)
O (0.7511, 0.6182, 0.0287)
O (0.7511, 0.8818, 0.5287)
F (0.1156, 0.0230, 0.7590)
F (0.1156, 0.4770, 0.2590)
F (0.1674, 0.6768, 0.5649)
F (0.1674, 0.8232, 0.0649)
F (0.2067, 0.1272, 0.1330)
F (0.2067, 0.3728, 0.6330)
F (0.7933, 0.6272, 0.3670)
F (0.7933, 0.8728, 0.8670)
F (0.8326, 0.1768, 0.9351)
F (0.8326, 0.3232, 0.4351)
F (0.8844, 0.5230, 0.7410)
F (0.8844, 0.9770, 0.2410)